For K6MgHg, a cell relaxed with PBE gives the calculated X-ray powder pattern in this record (Cu Kα X-rays).

Principal peaks in the range 2θ from 15° to 90°, by angle:
(hkl)  2θ/deg  d/Å  I (rel.)
0 2 2  18.00  4.927  61
0 1 3  19.40  4.576  55
1 1 1  20.65  4.302  80
1 2 2  25.97  3.431  100
1 1 3  26.97  3.306  87
0 3 3  27.15  3.285  60
1 3 1  28.07  3.179  58
1 2 4  33.67  2.662  51

Structure:
a b c (Å): 4.7819 13.3450 14.6124
angles (deg): 90.00 90.00 90.00
Space group Amm2 (No. 38)
Inequivalent atoms, fractional coordinates:
K: 0.0000 0.0000 0.0000 (multiplicity 2)
K: 0.0000 0.1625 0.7158 (multiplicity 4)
K: 0.5000 0.0000 0.2621 (multiplicity 2)
K: 0.5000 0.2267 0.4677 (multiplicity 4)
Mg: 0.0000 0.0000 0.4846 (multiplicity 2)
Hg: 0.5000 0.0000 0.5963 (multiplicity 2)

For Ac3In6Pt5, a cell relaxed with PBE gives the calculated X-ray powder pattern in this record (Cu Kα X-rays).

Principal peaks in the range 2θ from 15° to 90°, by angle:
(hkl)  2θ/deg  d/Å  I (rel.)
1 3 0  27.32  3.264  23
0 4 2  30.59  2.922  19
1 3 2  32.41  2.763  100
1 0 3  32.60  2.747  33
1 4 1  33.30  2.691  22
1 2 3  35.05  2.560  20
0 6 0  38.16  2.358  20
2 0 0  39.87  2.261  47

Structure:
a b c (Å): 4.5222 14.1489 10.3724
angles (deg): 90.00 90.00 90.00
Space group Pmmn (No. 59, origin choice 2)
Inequivalent atoms, fractional coordinates:
Ac: 0.2500 0.0527 0.2440 (multiplicity 4)
Ac: 0.2500 0.7500 0.2786 (multiplicity 2)
In: 0.2500 0.0694 0.5813 (multiplicity 4)
In: 0.2500 0.2500 0.0329 (multiplicity 2)
In: 0.2500 0.2500 0.4072 (multiplicity 2)
In: 0.2500 0.5994 0.9885 (multiplicity 4)
Pt: 0.2500 0.0971 0.8506 (multiplicity 4)
Pt: 0.2500 0.6350 0.5530 (multiplicity 4)
Pt: 0.2500 0.7500 0.7927 (multiplicity 2)

For NaCu2O4, a cell relaxed with PBE gives the calculated X-ray powder pattern in this record (Cu Kα X-rays).

Principal peaks in the range 2θ from 15° to 90°, by angle:
(hkl)  2θ/deg  d/Å  I (rel.)
1 0 1  17.67  5.019  98
1 0 3  32.72  2.737  24
2 1 1  34.94  2.568  100
2 0 2  35.78  2.509  65
2 2 0  42.78  2.114  17
1 0 5  51.81  1.765  16
2 2 4  59.27  1.559  26
2 4 2  73.79  1.284  23

Structure:
a b c (Å): 5.9785 5.9785 9.2352
angles (deg): 90.00 90.00 90.00
Space group I4_1/a (No. 88, origin choice 2)
Inequivalent atoms, fractional coordinates:
Na: 0.0000 0.2500 0.1250 (multiplicity 4)
Cu: 0.0000 0.0000 0.5000 (multiplicity 8)
O: 0.1302 0.0095 0.3197 (multiplicity 16)

For CsAlZn2F8, a cell relaxed with PBE gives the calculated X-ray powder pattern in this record (Cu Kα X-rays).

Principal peaks in the range 2θ from 15° to 90°, by angle:
(hkl)  2θ/deg  d/Å  I (rel.)
1 0 4  23.02  3.863  100
0 1 5  25.37  3.511  12
1 1 0  31.73  2.820  36
1 1 3  33.51  2.674  12
0 1 8  33.81  2.651  13
2 0 8  47.04  1.932  15
2 1 4  51.57  1.772  21
1 1 12  54.40  1.687  13

Structure:
a b c (Å): 5.6407 5.6407 25.2502
angles (deg): 90.00 90.00 120.00
Space group R-3m (No. 166, hexagonal axes)
Inequivalent atoms, fractional coordinates:
Cs: 0.0000 0.0000 0.0000 (multiplicity 3)
Al: 0.0000 0.0000 0.5000 (multiplicity 3)
Zn: 0.0000 0.0000 0.2386 (multiplicity 6)
F: 0.0000 0.0000 0.3123 (multiplicity 6)
F: 0.0320 0.5160 0.1244 (multiplicity 18)

For Pr5Sm4Tm3, a cell relaxed with PBE gives the calculated X-ray powder pattern in this record (Cu Kα X-rays).

Principal peaks in the range 2θ from 15° to 90°, by angle:
(hkl)  2θ/deg  d/Å  I (rel.)
1 1 3  28.68  3.113  34
1 1 -4  28.80  3.100  28
3 1 -1  30.35  2.945  100
0 2 0  30.98  2.887  98
2 0 -5  31.29  2.859  37
2 2 3  44.40  2.040  25
2 2 -5  44.59  2.032  28
3 3 -1  54.69  1.678  25

Structure:
a b c (Å): 10.3498 5.7785 14.6934
angles (deg): 90.00 110.12 90.00
Space group C2/m (No. 12)
Inequivalent atoms, fractional coordinates:
Pr: 0.0000 0.0000 0.0000 (multiplicity 2)
Pr: 0.0340 0.5000 0.2391 (multiplicity 4)
Pr: 0.1644 0.5000 0.4979 (multiplicity 4)
Sm: 0.0665 0.0000 0.6292 (multiplicity 4)
Sm: 0.1865 0.0000 0.8760 (multiplicity 4)
Tm: 0.0000 0.5000 0.0000 (multiplicity 2)
Tm: 0.2026 0.0000 0.2436 (multiplicity 4)

For CaPm4Rh3, a cell relaxed with PBE gives the calculated X-ray powder pattern in this record (Cu Kα X-rays).

Principal peaks in the range 2θ from 15° to 90°, by angle:
(hkl)  2θ/deg  d/Å  I (rel.)
0 0 2  29.14  3.065  35
3 2 1  32.05  2.792  62
2 0 2  33.25  2.695  30
4 2 0  35.50  2.529  35
4 1 1  35.87  2.504  100
2 2 2  36.95  2.433  23
4 1 3  56.13  1.639  31
5 5 2  65.87  1.418  24

Structure:
a b c (Å): 11.3098 11.3098 6.1299
angles (deg): 90.00 90.00 90.00
Space group I4/mcm (No. 140)
Inequivalent atoms, fractional coordinates:
Ca: 0.0000 0.5000 0.2500 (multiplicity 4)
Pm: 0.0837 0.2113 0.0000 (multiplicity 16)
Rh: 0.0000 0.0000 0.2500 (multiplicity 4)
Rh: 0.1616 0.3384 0.5000 (multiplicity 8)